Entry 1:
Structure and theoretical powder diffractogram of CsNd5Se8 (a structure optimized by DFT (GGA-PBE); Cu Kα).

The 8 most intense peaks (10° ≤ 2θ ≤ 80°), most intense first:
- 42.25°, I = 100
- 26.67°, I = 98
- 28.12°, I = 85
- 38.38°, I = 75
- 33.74°, I = 74
- 26.84°, I = 70
- 41.79°, I = 67
- 16.72°, I = 44

Crystal structure
Cell: 11.2852 11.2852 10.3802 Å, 103.63 103.63 22.08°
Fractional positions:
1 Cs 0.0000 0.0000 0.0000
2 Nd 0.1560 0.1560 0.4423
3 Nd 0.2027 0.2027 0.8385
4 Nd 0.5004 0.5004 0.4994
5 Nd 0.7980 0.7980 0.1605
6 Nd 0.8449 0.8449 0.5567
7 Se 0.0794 0.0794 0.6430
8 Se 0.2746 0.2746 0.3588
9 Se 0.3299 0.3299 0.0035
10 Se 0.4207 0.4207 0.6950
11 Se 0.5802 0.5802 0.3040
12 Se 0.6709 0.6709 0.9955
13 Se 0.7263 0.7263 0.6402
14 Se 0.9214 0.9214 0.3558



Entry 2:
Structure and theoretical powder diffractogram of Cs4Nd3YSe8 (a structure optimized by DFT (GGA-PBE); Cu Kα).

The 8 most intense peaks (10° ≤ 2θ ≤ 80°), most intense first:
- 27.48°, I = 100
- 41.31°, I = 36
- 37.12°, I = 33
- 50.33°, I = 18
- 67.08°, I = 15
- 43.10°, I = 13
- 61.21°, I = 12
- 56.73°, I = 10

Crystal structure
Cell: 9.8022 9.8022 9.8022 Å, 52.97 52.97 52.97°
Fractional positions:
1 Cs 0.0000 0.0000 0.0000
2 Cs 0.0000 0.5000 0.5000
3 Cs 0.5000 0.0000 0.5000
4 Cs 0.5000 0.5000 0.0000
5 Nd 0.0000 0.0000 0.5000
6 Nd 0.0000 0.5000 0.0000
7 Nd 0.5000 0.0000 0.0000
8 Y 0.5000 0.5000 0.5000
9 Se 0.2305 0.2305 0.2305
10 Se 0.2363 0.7262 0.7262
11 Se 0.2738 0.2738 0.7637
12 Se 0.2738 0.7637 0.2738
13 Se 0.7262 0.2363 0.7262
14 Se 0.7262 0.7262 0.2363
15 Se 0.7637 0.2738 0.2738
16 Se 0.7695 0.7695 0.7695